The following is a calculated powder XRD pattern of ScGa2Ni. It was derived from a crystal structure in the Materials Project, relaxed with GGA-PBE, using CuKα.
Neutral-atom scattering factors, no anomalous dispersion.

Atomic structure:
Cell lengths 5.203, 5.203, 6.471 Å; angles 90.00, 90.00, 134.17 degrees
Sites, in units of the cell vectors:
Sc 0.075 0.925 0.750
Sc 0.925 0.075 0.250
Ga 0.363 0.637 0.549
Ga 0.363 0.637 0.951
Ga 0.637 0.363 0.049
Ga 0.637 0.363 0.451
Ni 0.206 0.794 0.250
Ni 0.794 0.206 0.750

The 12 most intense peaks (10° ≤ 2θ ≤ 80°), most intense first:
- 36.76°, d 2.445, I = 100
- 38.49°, d 2.339, I = 60
- 45.77°, d 1.983, I = 59
- 44.73°, d 2.026, I = 51
- 48.77°, d 1.867, I = 45
- 40.13°, d 2.247, I = 27
- 47.20°, d 1.925, I = 22
- 35.79°, d 2.509, I = 20
- 37.54°, d 2.396, I = 20
- 18.52°, d 4.792, I = 20
- 72.93°, d 1.297, I = 20
- 46.15°, d 1.967, I = 20

The following is a calculated powder XRD pattern of AlInB. It was derived from a crystal structure in the Materials Project, relaxed with GGA-PBE, using CuKα.
Neutral-atom scattering factors, no anomalous dispersion.

Atomic structure:
Cell lengths 4.261, 4.261, 4.261 Å; angles 60.00, 60.00, 60.00 degrees
Sites, in units of the cell vectors:
Al 0.000 0.000 0.000
In 0.250 0.250 0.250
B 0.750 0.750 0.750

The 9 most intense peaks (10° ≤ 2θ ≤ 80°), most intense first:
- 25.60°, d 3.479, I = 100
- 42.42°, d 2.131, I = 71
- 50.21°, d 1.817, I = 48
- 29.65°, d 3.013, I = 40
- 77.61°, d 1.230, I = 23
- 67.78°, d 1.383, I = 19
- 69.79°, d 1.348, I = 13
- 61.55°, d 1.507, I = 11
- 52.61°, d 1.740, I = 10

The following is a calculated powder XRD pattern of Sr18ThCl40. It was derived from a crystal structure in the Materials Project, relaxed with GGA-PBE, using CuKα.
Neutral-atom scattering factors, no anomalous dispersion.

Atomic structure:
Cell lengths 77.739, 77.739, 77.739 Å; angles 3.67, 3.67, 3.67 degrees
Sites, in units of the cell vectors:
Sr 0.026 0.026 0.026
Sr 0.079 0.079 0.079
Sr 0.131 0.131 0.131
Sr 0.184 0.184 0.184
Sr 0.237 0.237 0.237
Sr 0.289 0.289 0.289
Sr 0.342 0.342 0.342
Sr 0.395 0.395 0.395
Sr 0.447 0.447 0.447
Sr 0.553 0.553 0.553
Sr 0.605 0.605 0.605
Sr 0.658 0.658 0.658
Sr 0.711 0.711 0.711
Sr 0.763 0.763 0.763
Sr 0.816 0.816 0.816
Sr 0.869 0.869 0.869
Sr 0.921 0.921 0.921
Sr 0.974 0.974 0.974
Th 0.500 0.500 0.500
Cl 0.013 0.013 0.013
Cl 0.039 0.039 0.039
Cl 0.066 0.066 0.066
Cl 0.092 0.092 0.092
Cl 0.118 0.118 0.118
Cl 0.144 0.144 0.144
Cl 0.159 0.159 0.159
Cl 0.171 0.171 0.171
Cl 0.197 0.197 0.197
Cl 0.224 0.224 0.224
Cl 0.250 0.250 0.250
Cl 0.276 0.276 0.276
Cl 0.303 0.303 0.303
Cl 0.329 0.329 0.329
Cl 0.355 0.355 0.355
Cl 0.382 0.382 0.382
Cl 0.408 0.408 0.408
Cl 0.434 0.434 0.434
Cl 0.460 0.460 0.460
Cl 0.487 0.487 0.487
Cl 0.513 0.513 0.513
Cl 0.540 0.540 0.540
Cl 0.566 0.566 0.566
Cl 0.592 0.592 0.592
Cl 0.618 0.618 0.618
Cl 0.645 0.645 0.645
Cl 0.671 0.671 0.671
Cl 0.697 0.697 0.697
Cl 0.724 0.724 0.724
Cl 0.750 0.750 0.750
Cl 0.776 0.776 0.776
Cl 0.803 0.803 0.803
Cl 0.829 0.829 0.829
Cl 0.841 0.841 0.841
Cl 0.856 0.856 0.856
Cl 0.882 0.882 0.882
Cl 0.908 0.908 0.908
Cl 0.934 0.934 0.934
Cl 0.961 0.961 0.961
Cl 0.987 0.987 0.987

The 12 most intense peaks (10° ≤ 2θ ≤ 80°), most intense first:
- 21.87°, d 4.064, I = 100
- 36.11°, d 2.487, I = 96
- 35.95°, d 2.498, I = 95
- 42.57°, d 2.124, I = 51
- 21.74°, d 4.089, I = 33
- 51.87°, d 1.763, I = 31
- 64.83°, d 1.438, I = 31
- 42.40°, d 2.132, I = 19
- 64.94°, d 1.436, I = 16
- 64.51°, d 1.445, I = 15
- 57.06°, d 1.614, I = 15
- 76.62°, d 1.244, I = 10

The following is a calculated powder XRD pattern of HoClO. It was derived from a crystal structure in the Materials Project, relaxed with GGA-PBE, using CuKα.
Neutral-atom scattering factors, no anomalous dispersion.

Atomic structure:
Cell lengths 3.887, 3.887, 6.723 Å; angles 90.00, 90.00, 90.00 degrees
Sites, in units of the cell vectors:
Ho 0.250 0.250 0.166
Ho 0.750 0.750 0.834
Cl 0.250 0.250 0.629
Cl 0.750 0.750 0.371
O 0.250 0.750 0.000
O 0.750 0.250 0.000

The 12 most intense peaks (10° ≤ 2θ ≤ 80°), most intense first:
- 35.30°, d 2.543, I = 100
- 26.49°, d 3.365, I = 88
- 32.58°, d 2.749, I = 62
- 59.92°, d 1.544, I = 53
- 13.17°, d 6.723, I = 43
- 46.74°, d 1.944, I = 31
- 54.53°, d 1.683, I = 30
- 52.70°, d 1.737, I = 22
- 79.26°, d 1.209, I = 22
- 42.48°, d 2.128, I = 17
- 77.68°, d 1.229, I = 10
- 74.62°, d 1.272, I = 10

The following is a calculated powder XRD pattern of CdH. It was derived from a crystal structure in the Materials Project, relaxed with GGA-PBE, using CuKα.
Neutral-atom scattering factors, no anomalous dispersion.

Atomic structure:
Cell lengths 3.061, 3.061, 7.240 Å; angles 90.00, 90.00, 120.00 degrees
Sites, in units of the cell vectors:
Cd 0.333 0.667 0.000
Cd 0.667 0.333 0.500
H 0.333 0.667 0.271
H 0.667 0.333 0.771

The 12 most intense peaks (10° ≤ 2θ ≤ 80°), most intense first:
- 36.09°, d 2.489, I = 100
- 24.59°, d 3.620, I = 59
- 51.19°, d 1.784, I = 36
- 42.26°, d 2.139, I = 21
- 66.32°, d 1.410, I = 21
- 33.82°, d 2.650, I = 21
- 60.50°, d 1.530, I = 14
- 72.51°, d 1.304, I = 12
- 74.70°, d 1.271, I = 11
- 50.42°, d 1.810, I = 8
- 62.10°, d 1.495, I = 7
- 76.56°, d 1.244, I = 3

The following is a calculated powder XRD pattern of HfZnPt2. It was derived from a crystal structure in the Materials Project, relaxed with GGA-PBE, using CuKα.
Neutral-atom scattering factors, no anomalous dispersion.

Atomic structure:
Cell lengths 4.552, 4.552, 4.552 Å; angles 60.00, 60.00, 60.00 degrees
Sites, in units of the cell vectors:
Hf 0.000 0.000 0.000
Zn 0.500 0.500 0.500
Pt 0.250 0.250 0.250
Pt 0.750 0.750 0.750

The 10 most intense peaks (10° ≤ 2θ ≤ 80°), most intense first:
- 39.60°, d 2.276, I = 100
- 71.85°, d 1.314, I = 35
- 57.25°, d 1.609, I = 17
- 23.94°, d 3.716, I = 7
- 27.72°, d 3.219, I = 6
- 46.81°, d 1.941, I = 3
- 64.77°, d 1.439, I = 2
- 49.02°, d 1.858, I = 2
- 62.94°, d 1.477, I = 2
- 76.97°, d 1.239, I = 1

The following is a calculated powder XRD pattern of TmMn2. It was derived from a crystal structure in the Materials Project, relaxed with GGA-PBE, using CuKα.
Neutral-atom scattering factors, no anomalous dispersion.

Atomic structure:
Cell lengths 5.300, 5.300, 8.011 Å; angles 90.00, 90.00, 120.00 degrees
Sites, in units of the cell vectors:
Tm 0.333 0.667 0.060
Tm 0.333 0.667 0.440
Tm 0.667 0.333 0.560
Tm 0.667 0.333 0.940
Mn 0.000 0.000 0.000
Mn 0.000 0.000 0.500
Mn 0.168 0.337 0.750
Mn 0.168 0.832 0.750
Mn 0.337 0.168 0.250
Mn 0.663 0.832 0.750
Mn 0.832 0.168 0.250
Mn 0.832 0.663 0.250

The 12 most intense peaks (10° ≤ 2θ ≤ 80°), most intense first:
- 40.86°, d 2.209, I = 100
- 39.02°, d 2.308, I = 59
- 33.83°, d 2.650, I = 50
- 64.00°, d 1.455, I = 26
- 71.86°, d 1.314, I = 17
- 65.29°, d 1.429, I = 16
- 71.16°, d 1.325, I = 15
- 19.34°, d 4.590, I = 12
- 39.26°, d 2.295, I = 11
- 29.60°, d 3.018, I = 11
- 60.52°, d 1.530, I = 9
- 61.28°, d 1.513, I = 9

The following is a calculated powder XRD pattern of CaCo4S8. It was derived from a crystal structure in the Materials Project, relaxed with GGA-PBE, using CuKα.
Neutral-atom scattering factors, no anomalous dispersion.

Atomic structure:
Cell lengths 7.308, 7.308, 7.308 Å; angles 55.29, 55.29, 55.29 degrees
Sites, in units of the cell vectors:
Ca 0.000 0.000 0.000
Co 0.000 0.000 0.500
Co 0.000 0.500 0.000
Co 0.500 0.000 0.000
Co 0.500 0.500 0.500
S 0.228 0.228 0.228
S 0.232 0.727 0.727
S 0.273 0.273 0.768
S 0.273 0.768 0.273
S 0.727 0.232 0.727
S 0.727 0.727 0.232
S 0.768 0.273 0.273
S 0.772 0.772 0.772

The 12 most intense peaks (10° ≤ 2θ ≤ 80°), most intense first:
- 14.35°, d 6.171, I = 100
- 36.23°, d 2.480, I = 77
- 54.09°, d 1.696, I = 25
- 46.19°, d 1.965, I = 24
- 50.19°, d 1.818, I = 18
- 56.27°, d 1.635, I = 14
- 30.83°, d 2.901, I = 13
- 66.84°, d 1.400, I = 11
- 63.73°, d 1.460, I = 11
- 73.81°, d 1.284, I = 5
- 76.89°, d 1.240, I = 5
- 15.83°, d 5.599, I = 4

The following is a calculated powder XRD pattern of Na2CO3. It was derived from a crystal structure in the Materials Project, relaxed with GGA-PBE, using CuKα.
Neutral-atom scattering factors, no anomalous dispersion.

Atomic structure:
Cell lengths 5.295, 5.295, 6.285 Å; angles 94.93, 94.93, 59.88 degrees
Sites, in units of the cell vectors:
Na 0.000 0.000 0.000
Na 0.000 0.000 0.500
Na 0.326 0.326 0.729
Na 0.674 0.674 0.271
C 0.330 0.330 0.255
C 0.670 0.670 0.745
O 0.186 0.612 0.240
O 0.192 0.192 0.288
O 0.388 0.814 0.760
O 0.612 0.186 0.240
O 0.808 0.808 0.712
O 0.814 0.388 0.760

The 12 most intense peaks (10° ≤ 2θ ≤ 80°), most intense first:
- 33.95°, d 2.641, I = 100
- 28.54°, d 3.127, I = 60
- 41.35°, d 2.183, I = 33
- 35.57°, d 2.524, I = 33
- 36.40°, d 2.468, I = 29
- 50.60°, d 1.804, I = 27
- 48.11°, d 1.891, I = 22
- 42.77°, d 2.114, I = 20
- 46.89°, d 1.938, I = 19
- 59.09°, d 1.563, I = 17
- 40.71°, d 2.217, I = 14
- 71.54°, d 1.319, I = 13